Entry 1:
Diffraction record for Sr3Hg7Au4. The powder diffraction line list is computed, not measured: it uses a structure optimized by DFT (GGA-PBE) and copper Kα.

Principal peaks in the range 15 to 90 degrees two-theta, in order of rising 2θ:
16.66 deg, rel. 33; 30.92 deg, rel. 61; 31.94 deg, rel. 100; 34.48 deg, rel. 36; 37.07 deg, rel. 37; 38.44 deg, rel. 60; 39.17 deg, rel. 26; 39.58 deg, rel. 45

Structural model:
Unit cell a=9.114 b=9.114 c=10.655 alpha=123.01 beta=123.01 gamma=29.78
Fractional coordinates of all 14 atoms:
Sr (0.000, 0.000, 0.000)
Sr (0.306, 0.306, 0.297)
Sr (0.694, 0.694, 0.703)
Hg (0.000, 0.000, 0.500)
Hg (0.160, 0.160, 0.436)
Hg (0.323, 0.323, 0.977)
Hg (0.494, 0.494, 0.698)
Hg (0.506, 0.506, 0.302)
Hg (0.677, 0.677, 0.023)
Hg (0.840, 0.840, 0.564)
Au (0.121, 0.121, 0.831)
Au (0.345, 0.345, 0.735)
Au (0.655, 0.655, 0.265)
Au (0.879, 0.879, 0.169)

---

Entry 2:
Diffraction record for KAl2Pb. The powder diffraction line list is computed, not measured: it uses a structure optimized by DFT (GGA-PBE) and copper Kα.

Principal peaks in the range 15 to 90 degrees two-theta, in order of rising 2θ:
22.69 deg, rel. 55; 23.22 deg, rel. 52; 23.37 deg, rel. 51; 28.04 deg, rel. 52; 28.44 deg, rel. 100; 30.62 deg, rel. 51; 31.18 deg, rel. 49; 31.34 deg, rel. 48

Structural model:
Unit cell a=4.438 b=4.552 c=7.553 alpha=91.07 beta=107.08 gamma=118.71
Fractional coordinates of all 4 atoms:
K (0.000, 0.000, 0.000)
Al (0.579, 0.799, 0.364)
Al (0.909, 0.453, 0.363)
Pb (0.411, 0.212, 0.614)

---

Entry 3:
Diffraction record for Er4Hg. The powder diffraction line list is computed, not measured: it uses a structure optimized by DFT (GGA-PBE) and copper Kα.

Principal peaks in the range 15 to 90 degrees two-theta, in order of rising 2θ:
23.08 deg, rel. 33; 31.31 deg, rel. 85; 31.89 deg, rel. 100; 33.46 deg, rel. 39; 36.35 deg, rel. 70; 37.23 deg, rel. 32; 46.58 deg, rel. 23; 59.17 deg, rel. 44

Structural model:
Unit cell a=8.648 b=8.648 c=8.648 alpha=136.62 beta=136.62 gamma=63.03
Fractional coordinates of all 10 atoms:
Er (0.154, 0.797, 0.859)
Er (0.205, 0.346, 0.143)
Er (0.297, 0.938, 0.643)
Er (0.438, 0.295, 0.641)
Er (0.562, 0.705, 0.359)
Er (0.703, 0.062, 0.357)
Er (0.795, 0.654, 0.857)
Er (0.846, 0.203, 0.141)
Hg (0.125, 0.375, 0.750)
Hg (0.875, 0.625, 0.250)

---

Entry 4:
Diffraction record for AcPr2Sm5Ho. The powder diffraction line list is computed, not measured: it uses a structure optimized by DFT (GGA-PBE) and copper Kα.

Principal peaks in the range 15 to 90 degrees two-theta, in order of rising 2θ:
27.88 deg, rel. 42; 28.17 deg, rel. 50; 30.00 deg, rel. 100; 31.57 deg, rel. 16; 36.60 deg, rel. 15; 41.92 deg, rel. 21; 51.01 deg, rel. 22; 54.37 deg, rel. 15

Structural model:
Unit cell a=10.185 b=10.185 c=10.185 alpha=127.81 beta=127.81 gamma=76.94
Fractional coordinates of all 18 atoms:
Ac (0.250, 0.250, 0.000)
Ac (0.750, 0.750, 0.000)
Pr (0.118, 0.618, 0.736)
Pr (0.382, 0.118, 0.500)
Pr (0.618, 0.882, 0.500)
Pr (0.882, 0.382, 0.264)
Sm (0.000, 0.000, 0.000)
Sm (0.072, 0.159, 0.500)
Sm (0.159, 0.659, 0.088)
Sm (0.341, 0.428, 0.500)
Sm (0.428, 0.928, 0.088)
Sm (0.500, 0.500, 0.000)
Sm (0.572, 0.072, 0.912)
Sm (0.659, 0.572, 0.500)
Sm (0.841, 0.341, 0.912)
Sm (0.928, 0.841, 0.500)
Ho (0.250, 0.750, 0.500)
Ho (0.750, 0.250, 0.500)